[1]
# RbGeI3
Simulated powder diffractogram, Cu Kα X-rays. Input: the PBE geometry in the Materials Project.

Structure:
a = 4.5991 Å, b = 10.4136 Å, c = 17.1910 Å
α = 90.00°, β = 90.00°, γ = 90.00°
Space group P2_12_12_1 (No. 19)
Inequivalent atoms, fractional coordinates:
Rb 0.0053 0.1701 0.3300 x4
Ge 0.0340 0.4088 0.9373 x4
I 0.0080 0.5402 0.7915 x4
I 0.0118 0.7717 0.3892 x4
I 0.0171 0.4201 0.4999 x4

Most intense lines, 15° ≤ 2θ ≤ 90°, by intensity:
h k l  2θ/deg  I_rel
1 1 3  26.26  100
1 2 1  26.37  88
1 2 2  27.89  86
0 1 5  27.32  52
0 2 4  26.90  49
2 0 0  39.18  38
1 1 7  42.63  30
2 1 5  48.42  21
1 3 4  38.67  21
1 0 5  32.51  21
2 2 4  48.16  20
1 4 3  42.94  18

=====

[2]
# In2Co21B6
Simulated powder diffractogram, Cu Kα X-rays. Input: the PBE geometry in the Materials Project.

Structure:
a = 10.5684 Å, b = 10.5684 Å, c = 10.5684 Å
α = 90.00°, β = 90.00°, γ = 90.00°
Space group Fm-3m (No. 225)
Inequivalent atoms, fractional coordinates:
In 0.2500 0.2500 0.2500 x8
Co 0.0000 0.0000 0.0000 x4
Co 0.0000 0.1674 0.1674 x48
Co 0.1135 0.1135 0.3865 x32
B 0.0000 0.0000 0.2763 x24

Most intense lines, 15° ≤ 2θ ≤ 90°, by intensity:
h k l  2θ/deg  I_rel
3 3 3  44.55  100
4 2 0  38.08  53
4 2 2  41.88  49
6 6 0  76.48  30
4 4 0  48.74  27
5 3 1  51.13  25
6 4 4  73.96  15
6 2 2  57.88  14
5 5 5  78.36  11
6 2 0  54.95  7
9 1 1  83.30  7
8 0 0  71.40  6

=====

[3]
# Lu3Mg2MoS8
Simulated powder diffractogram, Cu Kα X-rays. Input: the PBE geometry in the Materials Project.

Structure:
a = 7.7285 Å, b = 7.7285 Å, c = 18.5569 Å
α = 90.00°, β = 90.00°, γ = 120.00°
Space group R-3m (No. 166, hexagonal axes)
Inequivalent atoms, fractional coordinates:
Lu 0.0000 0.5000 0.0000 x9
Mg 0.0000 0.0000 0.1253 x6
Mo 0.0000 0.0000 0.5000 x3
S 0.0000 0.0000 0.2561 x6
S 0.0232 0.5116 0.2475 x18

Most intense lines, 15° ≤ 2θ ≤ 90°, by intensity:
h k l  2θ/deg  I_rel
0 2 4  33.00  100
0 2 1  27.07  51
2 2 0  47.03  45
2 0 8  47.70  43
1 1 3  27.21  43
2 0 2  28.35  26
0 1 5  27.48  22
2 2 3  49.39  20
1 2 5  43.28  18
4 0 4  58.65  18
2 0 5  36.14  17
2 4 4  78.36  15

=====

[4]
# Th2TeN2
Simulated powder diffractogram, Cu Kα X-rays. Input: the PBE geometry in the Materials Project.

Structure:
a = 4.1087 Å, b = 4.1087 Å, c = 13.1689 Å
α = 90.00°, β = 90.00°, γ = 90.00°
Space group I4/mmm (No. 139)
Inequivalent atoms, fractional coordinates:
Th 0.0000 0.0000 0.1633 x4
Te 0.0000 0.0000 0.5000 x2
N 0.0000 0.5000 0.2500 x4

Most intense lines, 15° ≤ 2θ ≤ 90°, by intensity:
h k l  2θ/deg  I_rel
1 0 3  29.78  100
1 1 0  30.78  42
2 1 3  54.11  39
1 1 6  52.23  23
2 0 0  44.08  19
2 0 6  61.86  12
3 1 6  87.18  11
2 1 9  84.68  11
3 2 3  88.68  10
0 0 6  41.13  10
1 0 9  68.01  10
3 0 3  72.27  8

=====

[5]
# La5NiGe3
Simulated powder diffractogram, Cu Kα X-rays. Input: the PBE geometry in the Materials Project.

Structure:
a = 9.1044 Å, b = 9.1044 Å, c = 7.0474 Å
α = 90.00°, β = 90.00°, γ = 120.00°
Space group P6_3/mcm (No. 193)
Inequivalent atoms, fractional coordinates:
La 0.0000 0.2500 0.2500 x6
La 0.3333 0.6667 0.0000 x4
Ni 0.0000 0.0000 0.0000 x2
Ge 0.0000 0.3982 0.7500 x6

Most intense lines, 15° ≤ 2θ ≤ 90°, by intensity:
h k l  2θ/deg  I_rel
1 1 2  32.12  100
2 1 1  32.62  80
3 0 0  34.11  47
4 0 2  53.24  27
2 1 3  49.40  25
2 2 2  47.56  25
2 1 0  29.98  18
3 0 4  63.58  15
6 0 2  77.54  15
4 4 0  85.32  15
0 0 4  51.90  12
3 2 1  52.21  12

=====

[6]
# Cs2TlAsI6
Simulated powder diffractogram, Cu Kα X-rays. Input: the PBE geometry in the Materials Project.

Structure:
a = 12.4179 Å, b = 12.4179 Å, c = 12.4179 Å
α = 90.00°, β = 90.00°, γ = 90.00°
Space group Fm-3m (No. 225)
Inequivalent atoms, fractional coordinates:
Cs 0.2500 0.2500 0.2500 x8
Tl 0.0000 0.0000 0.0000 x4
As 0.0000 0.0000 0.5000 x4
I 0.0000 0.0000 0.2673 x24

Most intense lines, 15° ≤ 2θ ≤ 90°, by intensity:
h k l  2θ/deg  I_rel
4 0 0  28.76  100
4 4 0  41.12  73
2 2 2  24.84  63
8 4 0  67.46  30
2 2 0  20.23  26
6 2 2  48.64  26
4 4 4  50.95  25
8 4 4  74.93  21
3 3 1  31.40  13
4 2 0  32.24  12
8 0 0  59.56  11
4 2 2  35.41  11

=====

[7]
# Cs2CuBr4
Simulated powder diffractogram, Cu Kα X-rays. Input: the PBE geometry in the Materials Project.

Structure:
a = 10.4260 Å, b = 8.2164 Å, c = 13.1284 Å
α = 90.00°, β = 90.00°, γ = 90.00°
Space group Pnma (No. 62)
Inequivalent atoms, fractional coordinates:
Cs 0.0041 0.2500 0.1690 x4
Cs 0.1264 0.2500 0.6035 x4
Cu 0.2315 0.2500 0.9168 x4
Br 0.0041 0.2500 0.8811 x4
Br 0.1567 0.7500 0.5784 x4
Br 0.2063 0.0139 0.3570 x8

Most intense lines, 15° ≤ 2θ ≤ 90°, by intensity:
h k l  2θ/deg  I_rel
3 0 1  26.55  100
1 2 2  26.99  80
0 0 4  27.17  75
0 2 0  21.63  66
2 2 1  28.49  50
2 2 3  34.54  50
3 0 3  32.91  41
3 0 2  29.07  41
2 2 0  27.65  41
0 4 0  44.09  38
1 2 3  31.07  36
0 1 3  23.03  31

=====

[8]
# NaMgF3
Simulated powder diffractogram, Cu Kα X-rays. Input: the PBE geometry in the Materials Project.

Structure:
a = 3.9508 Å, b = 3.9508 Å, c = 3.9508 Å
α = 90.00°, β = 90.00°, γ = 90.00°
Space group Pm-3m (No. 221)
Inequivalent atoms, fractional coordinates:
Na 0.0000 0.0000 0.0000 x1
Mg 0.5000 0.5000 0.5000 x1
F 0.0000 0.5000 0.5000 x3

Most intense lines, 15° ≤ 2θ ≤ 90°, by intensity:
h k l  2θ/deg  I_rel
2 0 0  45.94  100
1 1 1  39.51  60
2 2 0  67.00  52
1 1 0  32.04  46
1 0 0  22.50  31
2 1 1  57.11  19
2 2 2  85.05  15
3 1 1  80.66  11
2 1 0  51.74  10
3 1 0  76.20  8
3 0 0  71.66  4
3 2 0  89.42  2

=====

[9]
# Li3Al2
Simulated powder diffractogram, Cu Kα X-rays. Input: the PBE geometry in the Materials Project.

Structure:
a = 4.4437 Å, b = 4.4437 Å, c = 14.1595 Å
α = 90.00°, β = 90.00°, γ = 120.00°
Space group R-3m (No. 166, hexagonal axes)
Inequivalent atoms, fractional coordinates:
Li 0.0000 0.0000 0.0000 x3
Li 0.0000 0.0000 0.4028 x6
Al 0.0000 0.0000 0.1983 x6

Most intense lines, 15° ≤ 2θ ≤ 90°, by intensity:
h k l  2θ/deg  I_rel
0 1 5  39.51  100
1 1 0  40.60  93
0 1 2  26.36  77
0 0 3  18.80  71
1 1 3  45.10  38
2 0 5  57.94  32
1 2 5  73.14  32
1 0 10  70.92  17
1 0 1  23.96  16
3 0 0  73.88  16
2 0 2  49.06  13
1 2 2  65.51  11

=====

Copy entry 8 word for word.
# NaMgF3
Simulated powder diffractogram, Cu Kα X-rays. Input: the PBE geometry in the Materials Project.

Structure:
a = 3.9508 Å, b = 3.9508 Å, c = 3.9508 Å
α = 90.00°, β = 90.00°, γ = 90.00°
Space group Pm-3m (No. 221)
Inequivalent atoms, fractional coordinates:
Na 0.0000 0.0000 0.0000 x1
Mg 0.5000 0.5000 0.5000 x1
F 0.0000 0.5000 0.5000 x3

Most intense lines, 15° ≤ 2θ ≤ 90°, by intensity:
h k l  2θ/deg  I_rel
2 0 0  45.94  100
1 1 1  39.51  60
2 2 0  67.00  52
1 1 0  32.04  46
1 0 0  22.50  31
2 1 1  57.11  19
2 2 2  85.05  15
3 1 1  80.66  11
2 1 0  51.74  10
3 1 0  76.20  8
3 0 0  71.66  4
3 2 0  89.42  2